For Cs3NaMn2F9, DFT lattice parameters and positions (GGA+U) gives the simulated powder diffraction line list in this record (copper Kα).

Main lines, in order of rising 2θ (10 to 90 degrees two-theta):
- 2θ = 20.16°, I = 40, (1 0 1)
- 2θ = 28.60°, I = 100, (0 1 2)
- 2θ = 28.73°, I = 97, (1 1 0)
- 2θ = 35.35°, I = 46, (0 2 1)
- 2θ = 40.99°, I = 78, (2 0 2)
- 2θ = 50.85°, I = 59, (3 0 0)

```
15
Lattice="6.2144 0.0000 0.0000 -3.1072 5.3818 0.0000 0.0000 0.0000 7.6608" Properties=species:S:1:pos:R:3 pbc="T T T"
Cs 0.0000 0.0000 0.0000
Cs 0.0000 3.5879 5.0040
Cs 3.1072 1.7939 2.6568
Na 0.0000 0.0000 3.8304
Mn 0.0000 3.5879 1.2082
Mn 3.1072 1.7939 6.4526
F -1.5536 2.6909 0.0000
F 0.0000 1.9248 2.3679
F -1.4403 4.4194 2.3679
F 1.6669 0.9624 5.2929
F 3.1072 0.0000 0.0000
F 1.5536 2.6909 0.0000
F 1.4403 4.4194 2.3679
F 4.5475 0.9624 5.2929
F 3.1072 3.4570 5.2929
```